No. 1
Diffraction record for Pm4Y2Tm. The powder diffractogram is simulated, not measured: it uses a GGA-PBE-relaxed structure and CuKα.

```
data_Pm4Y2Tm
_chemical_formula_sum 'Pm32 Y16 Tm8'
_space_group_name_H-M_alt 'F d d 2'
_space_group_IT_number 43
_space_group_name_Hall 'F 2 -2d'
_cell_length_a 11.956
_cell_length_b 24.233
_cell_length_c 6.468
_cell_angle_alpha 90.00
_cell_angle_beta 90.00
_cell_angle_gamma 90.00
loop_
_atom_site_label
_atom_site_fract_x
_atom_site_fract_y
_atom_site_fract_z
Pm1 0.052 0.070 0.000
Pm2 0.070 0.143 0.532
Y1 0.025 0.215 0.057
Tm1 0.000 0.000 0.493
```

Most intense lines, 10 to 90 degrees two-theta, in order of rising 2θ:
| hkl | 2θ/deg | d [Å] | Rel. int. |
| --- | --- | --- | --- |
| 1 7 1 | 30.22 | 2.957 | 100 |
| 4 2 0 | 30.81 | 2.902 | 37 |
| 2 0 2 | 31.45 | 2.845 | 61 |
| 3 5 1 | 32.20 | 2.780 | 39 |
| 2 2 2 | 32.33 | 2.769 | 30 |
| 3 7 1 | 37.10 | 2.423 | 23 |
| 1 7 3 | 50.44 | 1.809 | 20 |
| 2 14 0 | 55.24 | 1.663 | 19 |



No. 2
Diffraction record for AcPr3Y7. The powder diffractogram is simulated, not measured: it uses a GGA-PBE-relaxed structure and CuKα.

```
data_AcPr3Y7
_chemical_formula_sum 'Ac2 Pr6 Y14'
_space_group_name_H-M_alt 'C 1 2/m 1'
_space_group_IT_number 12
_space_group_name_Hall '-C 2y'
_cell_length_a 11.816
_cell_length_b 10.108
_cell_length_c 6.613
_cell_angle_alpha 90.00
_cell_angle_beta 94.74
_cell_angle_gamma 90.00
loop_
_atom_site_label
_atom_site_fract_x
_atom_site_fract_y
_atom_site_fract_z
Ac1 0.000 0.000 0.000
Pr1 0.000 0.323 0.500
Pr2 0.000 0.500 0.000
Y1 0.000 0.000 0.500
Y2 0.235 0.500 0.700
Y3 0.247 0.172 0.760
```

Most intense lines, 10 to 90 degrees two-theta, in order of rising 2θ:
| hkl | 2θ/deg | d [Å] | Rel. int. |
| --- | --- | --- | --- |
| 0 2 1 | 22.17 | 4.011 | 36 |
| 2 2 -1 | 26.25 | 3.395 | 41 |
| 2 2 1 | 27.53 | 3.240 | 72 |
| 2 0 -2 | 29.96 | 2.983 | 100 |
| 4 0 0 | 30.36 | 2.944 | 98 |
| 1 3 1 | 31.04 | 2.881 | 77 |
| 2 0 2 | 32.21 | 2.779 | 78 |
| 3 3 -1 | 37.02 | 2.428 | 49 |